Record 1
Structure and simulated PXRD pattern of Cs2InPb2 (the PBE geometry in Alexandria; Cu Kα).
Lines closer than 0.1° are merged.

Largest 6 diffraction maxima, by angle, 5° ≤ 2θ ≤ 70°:
d [Å]	2θ/deg	I_rel
3.479	25.61	100
3.427	26.00	40
2.977	30.02	30
2.833	31.59	44
2.759	32.45	37
2.052	44.13	21

Crystal structure
```
data_Cs2InPb2
_cell_length_a 13.574
_cell_length_b 5.665
_cell_length_c 13.118
_cell_angle_alpha 90.00
_cell_angle_beta 118.68
_cell_angle_gamma 90.00
_symmetry_space_group_name_H-M 'C 1 2/m 1'
_symmetry_Int_Tables_number 12
_symmetry_space_group_name_Hall '-C 2y'
loop_
_atom_site_label
_atom_site_fract_x
_atom_site_fract_y
_atom_site_fract_z
_atom_site_occupancy
Cs1 0.089 0.000 0.381 1
Cs2 0.174 0.500 0.185 1
In1 0.139 0.500 0.855 1
Pb1 0.105 0.000 0.959 1
Pb2 0.112 0.500 0.605 1
```


Record 2
Structure and simulated PXRD pattern of CaAlPb (the PBE geometry in Alexandria; Cu Kα).
Lines closer than 0.1° are merged.

Largest 6 diffraction maxima, by angle, 5° ≤ 2θ ≤ 70°:
d [Å]	2θ/deg	I_rel
6.204	14.28	37
3.873	22.96	66
3.089	28.90	32
3.013	29.65	34
2.628	34.11	100
2.529	35.50	33

Crystal structure
```
data_CaAlPb
_cell_length_a 6.204
_cell_length_b 8.307
_cell_length_c 6.178
_cell_angle_alpha 90.00
_cell_angle_beta 90.00
_cell_angle_gamma 90.00
_symmetry_space_group_name_H-M 'P b c m'
_symmetry_Int_Tables_number 57
_symmetry_space_group_name_Hall '-P 2c 2b'
loop_
_atom_site_label
_atom_site_fract_x
_atom_site_fract_y
_atom_site_fract_z
_atom_site_occupancy
Ca1 0.131 0.090 0.250 1
Al1 0.308 0.750 0.000 1
Pb1 0.356 0.065 0.750 1
```


Record 3
Structure and simulated PXRD pattern of CeTl3Te4 (the PBE geometry in Alexandria; Cu Kα).
Lines closer than 0.1° are merged.

Largest 6 diffraction maxima, by angle, 5° ≤ 2θ ≤ 70°:
d [Å]	2θ/deg	I_rel
3.354	26.58	100
3.238	27.54	47
2.385	37.71	38
2.378	37.83	19
2.278	39.57	35
1.910	47.62	19

Crystal structure
```
data_CeTl3Te4
_cell_length_a 8.301
_cell_length_b 9.458
_cell_length_c 7.797
_cell_angle_alpha 90.00
_cell_angle_beta 107.45
_cell_angle_gamma 90.00
_symmetry_space_group_name_H-M 'P 1 2/c 1'
_symmetry_Int_Tables_number 13
_symmetry_space_group_name_Hall '-P 2yc'
loop_
_atom_site_label
_atom_site_fract_x
_atom_site_fract_y
_atom_site_fract_z
_atom_site_occupancy
Ce1 0.000 0.127 0.250 1
Tl1 0.000 0.381 0.750 1
Tl2 0.500 0.126 0.750 1
Tl3 0.500 0.381 0.250 1
Te1 0.220 0.106 0.996 1
Te2 0.232 0.359 0.482 1
```